# CeZn10Ni2
Simulated powder X-ray diffraction pattern, Cu Kα. Input: the GGA-PBE geometry in Alexandria.
Peak positions follow from Bragg's law for the DFT cell and can differ from measured ones.

The 10 most intense peaks (15° ≤ 2θ ≤ 90°), low angle first:
hkl 0 4 0, d = 2.569 Å, I = 25.6; hkl 0 2 3, d = 2.529 Å, I = 44.3; hkl 3 1 2, d = 2.381 Å, I = 67.7; hkl 3 3 0, d = 2.239 Å, I = 24.7; hkl 4 0 0, d = 2.221 Å, I = 100.0; hkl 0 4 2, d = 2.213 Å, I = 64.9; hkl 2 2 3, d = 2.197 Å, I = 91.0; hkl 0 0 4, d = 2.179 Å, I = 42.9; hkl 2 4 2, d = 1.981 Å, I = 79.5; hkl 6 2 3, d = 1.277 Å, I = 27.2

Cell and atoms:
Lattice parameters (Å, degrees): 8.876 10.278 8.714 90.00 90.00 90.00
Space group Cmcm (No. 63)
Symmetry-distinct sites (fractional):
Ce: 0.000 0.121 0.250
Zn: 0.000 0.157 0.601
Zn: 0.000 0.376 0.045
Zn: 0.151 0.375 0.750
Zn: 0.229 0.000 0.000
Zn: 0.229 0.368 0.250
Ni: 0.250 0.250 0.000